For Ba2TmCl7, a DFT-relaxed cell (GGA-PBE, the Materials Project) gives the simulated powder X-ray diffraction pattern in this record (Cu Kα (λ = 1.5418 Å)).

```
Ba2TmCl7
1.0
6.9182 0.0000 0.0000
0.0000 15.7373 0.0000
-0.1318 0.0000 10.6684
Ba Tm Cl
8 4 28
direct
0.2343 0.0608 0.3239
0.2343 0.4392 0.8239
0.2348 0.7202 0.4510
0.2348 0.7798 0.9510
0.7652 0.2202 0.0490
0.7652 0.2798 0.5490
0.7657 0.5608 0.1761
0.7657 0.9392 0.6761
0.2841 0.1269 0.7820
0.2841 0.3731 0.2820
0.7159 0.6269 0.7180
0.7159 0.8731 0.2180
0.0136 0.2438 0.3014
0.0136 0.2562 0.8014
0.0152 0.1052 0.5876
0.0152 0.3948 0.0876
0.2064 0.5384 0.2871
0.2064 0.9616 0.7871
0.2100 0.1393 0.0257
0.2100 0.3607 0.5257
0.3738 0.5712 0.6245
0.3738 0.9288 0.1245
0.4970 0.2290 0.2946
0.4970 0.2710 0.7946
0.4986 0.1046 0.5727
0.4986 0.3954 0.0727
0.5014 0.6046 0.9273
0.5014 0.8954 0.4273
0.5030 0.7290 0.2054
0.5030 0.7710 0.7054
0.6262 0.0712 0.8755
0.6262 0.4288 0.3755
0.7900 0.6393 0.4743
0.7900 0.8607 0.9743
0.7936 0.0384 0.2129
0.7936 0.4616 0.7129
0.9848 0.6052 0.9124
0.9848 0.8948 0.4124
0.9864 0.7438 0.1986
0.9864 0.7562 0.6986
```

Main lines, sorted by position (2θ = 10–90°):
| Position (°2θ) | d [Å] | I/Imax |
| --- | --- | --- |
| 13.98 | 6.333 | 21 |
| 18.89 | 4.699 | 21 |
| 21.23 | 4.185 | 100 |
| 21.66 | 4.103 | 42 |
| 21.91 | 4.057 | 24 |
| 22.91 | 3.882 | 20 |
| 25.75 | 3.459 | 27 |
| 34.11 | 2.628 | 40 |
| 35.22 | 2.548 | 38 |
| 35.50 | 2.528 | 35 |
| 37.81 | 2.380 | 25 |
| 42.91 | 2.107 | 22 |

For Ba2YCl7, a DFT-relaxed cell (GGA-PBE, the Materials Project) gives the simulated powder X-ray diffraction pattern in this record (Cu Kα (λ = 1.5418 Å)).

```
Ba2YCl7
1.0
7.6880 0.0000 0.0000
0.0000 14.3037 0.0000
-2.0272 0.0000 11.9383
Ba Y Cl
8 4 28
direct
0.1717 0.0656 0.1706
0.1717 0.4344 0.6706
0.3054 0.1214 0.7092
0.3054 0.3786 0.2092
0.6946 0.6214 0.7908
0.6946 0.8786 0.2908
0.8283 0.5656 0.3294
0.8283 0.9344 0.8294
0.3372 0.7064 0.0152
0.3372 0.7936 0.5152
0.6628 0.2064 0.4848
0.6628 0.2936 0.9848
0.0257 0.7435 0.8844
0.0257 0.7565 0.3844
0.1354 0.0648 0.9080
0.1354 0.4352 0.4080
0.1787 0.5902 0.1403
0.1787 0.9098 0.6403
0.3271 0.1883 0.3867
0.3271 0.3117 0.8867
0.3485 0.6257 0.6085
0.3485 0.8743 0.1085
0.3584 0.5577 0.8855
0.3584 0.9423 0.3855
0.4985 0.7030 0.3622
0.4985 0.7970 0.8622
0.5015 0.2030 0.1378
0.5015 0.2970 0.6378
0.6416 0.0577 0.6145
0.6416 0.4423 0.1145
0.6515 0.1257 0.8915
0.6515 0.3743 0.3915
0.6729 0.6883 0.1133
0.6729 0.8117 0.6133
0.8213 0.0902 0.3597
0.8213 0.4098 0.8597
0.8646 0.5648 0.5920
0.8646 0.9352 0.0920
0.9743 0.2435 0.6156
0.9743 0.2565 0.1156
```

Main lines, sorted by position (2θ = 10–90°):
| Position (°2θ) | d [Å] | I/Imax |
| --- | --- | --- |
| 18.39 | 4.825 | 100 |
| 19.38 | 4.581 | 87 |
| 21.35 | 4.162 | 53 |
| 22.02 | 4.036 | 68 |
| 23.47 | 3.790 | 35 |
| 29.11 | 3.067 | 54 |
| 30.32 | 2.948 | 52 |
| 30.61 | 2.920 | 49 |
| 34.46 | 2.603 | 77 |
| 35.50 | 2.529 | 35 |
| 37.58 | 2.394 | 39 |
| 39.96 | 2.256 | 58 |

For Ba2YCl7, a DFT-relaxed cell (GGA-PBE, the Materials Project) gives the simulated powder X-ray diffraction pattern in this record (Cu Kα (λ = 1.5418 Å)).

```
Ba2YCl7
1.0
8.3244 -4.0927 0.0000
8.3244 4.0927 0.0000
-6.4171 0.0000 8.1728
Ba Y Cl
4 2 14
direct
0.1802 0.1970 0.2815
0.1970 0.1802 0.7815
0.8030 0.8198 0.2185
0.8198 0.8030 0.7185
0.4662 0.5338 0.2500
0.5338 0.4662 0.7500
0.1116 0.8884 0.2500
0.1428 0.6084 0.5525
0.1894 0.4315 0.1513
0.2591 0.5655 0.9370
0.3916 0.8572 0.9475
0.4315 0.1894 0.6513
0.4345 0.7409 0.5630
0.5655 0.2591 0.4370
0.5685 0.8106 0.3487
0.6084 0.1428 0.0525
0.7409 0.4345 0.0630
0.8106 0.5685 0.8487
0.8572 0.3916 0.4475
0.8884 0.1116 0.7500
```

Main lines, sorted by position (2θ = 10–90°):
| Position (°2θ) | d [Å] | I/Imax |
| --- | --- | --- |
| 21.39 | 4.153 | 100 |
| 21.73 | 4.089 | 85 |
| 23.09 | 3.852 | 59 |
| 30.92 | 2.892 | 79 |
| 31.10 | 2.876 | 27 |
| 32.45 | 2.759 | 43 |
| 36.89 | 2.436 | 39 |
| 37.35 | 2.408 | 28 |
| 37.90 | 2.374 | 46 |
| 38.93 | 2.314 | 39 |
| 39.38 | 2.288 | 32 |
| 39.97 | 2.256 | 19 |